For Gd2Zr2O7, a structure optimized by DFT (PBE) gives the calculated X-ray diffraction stick pattern in this record (Cu Kα, 1.54184 Å).
Peak positions follow from Bragg's law for the DFT cell and can differ from measured ones.

Crystal structure
```
Gd2Zr2O7
1.0
7.5817 0.0000 0.0000
0.0000 7.5604 0.0000
0.0000 0.0000 10.5934
Gd Zr O
8 8 28
Cartesian
0.0000 0.0000 0.0000
0.0000 3.7802 5.2967
1.8954 1.8095 2.6483
1.8954 5.7509 7.9450
3.7908 0.0000 5.2967
3.7908 3.7802 0.0000
5.6863 1.8095 2.6483
5.6863 5.7509 7.9450
0.0000 0.0000 5.2967
0.0000 3.7802 0.0000
1.8954 1.8613 7.9450
1.8954 5.6991 2.6483
3.7908 0.0000 0.0000
3.7908 3.7802 5.2967
5.6863 1.8613 7.9450
5.6863 5.6991 2.6483
0.0000 1.8213 4.1239
0.0000 1.9124 7.0760
0.0000 1.9553 1.1338
0.0000 5.6051 9.4596
0.0000 5.6480 3.5173
0.0000 5.7390 6.4695
1.6125 3.3935 9.3122
1.6125 4.1669 1.2812
1.8889 0.1758 6.5967
1.8889 7.3845 3.9966
1.9020 0.1758 9.2933
1.9020 7.3845 1.3001
2.1784 3.3935 6.5778
2.1784 4.1669 4.0155
3.7908 1.8213 1.1728
3.7908 1.9124 8.8140
3.7908 1.9553 4.1629
3.7908 5.6051 6.4304
3.7908 5.6480 1.7793
3.7908 5.7390 9.4205
5.4033 3.3935 6.5778
5.4033 4.1669 4.0155
5.6797 0.1758 9.2933
5.6797 7.3845 1.3001
5.6928 0.1758 6.5967
5.6928 7.3845 3.9966
5.9692 3.3935 9.3122
5.9692 4.1669 1.2812
```

Top 10 peaks for 5 to 70 degrees two-theta, low angle first:
- 2θ 29.0, I = 100, (0 2 2)
- 2θ 33.5, I = 21, (2 2 0)
- 2θ 33.8, I = 10, (0 0 4)
- 2θ 48.0, I = 9, (4 0 0)
- 2θ 48.1, I = 8, (0 4 0)
- 2θ 48.3, I = 33, (2 2 4)
- 2θ 57.1, I = 29, (4 2 2)
- 2θ 57.6, I = 14, (2 0 6)
- 2θ 60.0, I = 5, (4 0 4)
- 2θ 60.1, I = 5, (0 4 4)